The following is a computed X-ray powder pattern of MgBi4O8. It was derived from a structure optimized by DFT (GGA-PBE), using Cu Kα (λ = 1.5418 Å).
Kinematic intensities with the Lorentz-polarization factor, no thermal factor.

Principal peaks in the range 2θ from 10° to 90°, in order of rising 2θ:
10.06 deg, I = 48, (0 0 1); 10.60 deg, I = 68, (0 1 0); 15.08 deg, I = 60, (0 1 1); 24.17 deg, I = 57, (0 2 1); 28.57 deg, I = 42, (0 2 -2); 30.25 deg, I = 49, (1 0 -2); 30.49 deg, I = 55, (0 0 3); 30.59 deg, I = 100, (1 0 1)

```
data_MgBi4O8
_chemical_formula_sum 'Mg1 Bi4 O8'
_space_group_name_H-M_alt 'P 1'
_space_group_IT_number 1
_cell_length_a 3.468
_cell_length_b 8.533
_cell_length_c 8.974
_cell_angle_alpha 91.24
_cell_angle_beta 101.07
_cell_angle_gamma 101.46
loop_
_space_group_symop_operation_xyz
'x,y,z'
loop_
_atom_site_label
_atom_site_type_symbol
_atom_site_fract_x
_atom_site_fract_y
_atom_site_fract_z
Mg1 Mg 0.000 0.000 0.000
Bi1 Bi 0.277 0.825 0.717
Bi2 Bi 0.461 0.504 0.402
Bi3 Bi 0.822 0.570 0.059
Bi4 Bi 0.998 0.238 0.737
O1 O 0.087 0.648 0.512
O2 O 0.206 0.465 0.927
O3 O 0.440 0.673 0.194
O4 O 0.463 0.309 0.600
O5 O 0.499 0.069 0.929
O6 O 0.815 0.974 0.646
O7 O 0.826 0.403 0.229
O8 O 0.855 0.773 0.926
```